No. 1
Structure and theoretical X-ray diffraction stick pattern of Li8Nd7Ge10 (a cell relaxed with PBE; CuKα).
Intensities are scaled so that the largest is 100.

Atomic structure:
Lattice parameters (Å, degrees): 6.927 33.554 4.438 90.00 90.00 90.00
Space group Cmmm (No. 65)
Symmetry-distinct sites (fractional):
Li1 0.187 0.144 0.000 [8 per cell]
Li2 0.191 0.426 0.500 [8 per cell]
Nd1 0.000 0.057 0.000 [4 per cell]
Nd2 0.000 0.221 0.500 [4 per cell]
Nd3 0.000 0.339 0.500 [4 per cell]
Nd4 0.000 0.500 0.000 [2 per cell]
Ge1 0.000 0.127 0.500 [4 per cell]
Ge2 0.000 0.406 0.000 [4 per cell]
Ge3 0.182 0.285 0.000 [8 per cell]
Ge4 0.184 0.000 0.500 [4 per cell]

Main lines, sorted by position (15 to 90 degrees two-theta):
d_spacing  I/Imax
4.290  13
3.942  16
3.468  42
2.792  19
2.695  71
2.639  100
2.219  27
2.080  18
1.841  14
1.518  13
1.349  12
1.246  12

---

No. 2
Structure and theoretical X-ray diffraction stick pattern of ThFe5P3 (a cell relaxed with PBE; CuKα).
Intensities are scaled so that the largest is 100.

Atomic structure:
Lattice parameters (Å, degrees): 11.910 3.726 10.417 90.00 90.00 90.00
Space group Pnma (No. 62)
Symmetry-distinct sites (fractional):
Th1 0.203 0.250 0.081 [4 per cell]
Fe1 0.011 0.750 0.097 [4 per cell]
Fe2 0.011 0.750 0.706 [4 per cell]
Fe3 0.067 0.750 0.466 [4 per cell]
Fe4 0.174 0.250 0.778 [4 per cell]
Fe5 0.200 0.250 0.379 [4 per cell]
P1 0.104 0.750 0.892 [4 per cell]
P2 0.109 0.250 0.577 [4 per cell]
P3 0.131 0.750 0.274 [4 per cell]

Main lines, sorted by position (15 to 90 degrees two-theta):
d_spacing  I/Imax
4.772  18
3.366  41
3.158  19
3.000  15
2.542  43
2.409  27
2.337  100
2.325  77
2.260  22
1.863  33
1.723  23
1.265  16

---

No. 3
Structure and theoretical X-ray diffraction stick pattern of DyGa5Co (a cell relaxed with PBE; CuKα).
Intensities are scaled so that the largest is 100.

Atomic structure:
Lattice parameters (Å, degrees): 4.230 4.230 6.790 90.00 90.00 90.00
Space group P4/mmm (No. 123)
Symmetry-distinct sites (fractional):
Dy1 0.000 0.000 0.000 [1 per cell]
Ga1 0.000 0.500 0.310 [4 per cell]
Ga2 0.500 0.500 0.000 [1 per cell]
Co1 0.000 0.000 0.500 [1 per cell]

Main lines, sorted by position (15 to 90 degrees two-theta):
d_spacing  I/Imax
4.230  23
2.737  53
2.648  14
2.263  19
2.244  100
2.115  56
1.545  22
1.495  18
1.312  11
1.248  11
1.244  29
1.236  11

---

No. 4
Structure and theoretical X-ray diffraction stick pattern of Gd6C3Cl5 (a cell relaxed with PBE; CuKα).
Intensities are scaled so that the largest is 100.

Atomic structure:
Lattice parameters (Å, degrees): 3.694 8.421 10.288 89.73 79.67 77.34
Space group P1 (No. 1)
Symmetry-distinct sites (fractional):
Gd1 0.000 0.000 0.000 [1 per cell]
Gd2 0.035 0.490 0.439 [1 per cell]
Gd3 0.262 0.354 0.120 [1 per cell]
Gd4 0.298 0.845 0.563 [1 per cell]
Gd5 0.512 0.743 0.237 [1 per cell]
Gd6 0.786 0.105 0.325 [1 per cell]
C1 0.402 0.046 0.154 [1 per cell]
C2 0.647 0.421 0.280 [1 per cell]
C3 0.899 0.797 0.407 [1 per cell]
Cl1 0.147 0.176 0.541 [1 per cell]
Cl2 0.161 0.669 0.023 [1 per cell]
Cl3 0.403 0.539 0.650 [1 per cell]
Cl4 0.653 0.920 0.781 [1 per cell]
Cl5 0.891 0.303 0.909 [1 per cell]

Main lines, sorted by position (15 to 90 degrees two-theta):
d_spacing  I/Imax
3.159  26
3.133  27
3.037  63
3.019  24
2.809  25
2.681  100
2.666  56
2.561  21
2.442  26
2.246  20
1.896  33
1.885  35

---

No. 5
Structure and theoretical X-ray diffraction stick pattern of LiCu2F5 (a cell relaxed with PBE; CuKα).
Intensities are scaled so that the largest is 100.

Atomic structure:
Lattice parameters (Å, degrees): 7.605 10.290 6.197 90.00 121.59 90.00
Space group C2/c (No. 15)
Symmetry-distinct sites (fractional):
Li1 0.000 0.135 0.250 [4 per cell]
Cu1 0.000 0.500 0.000 [4 per cell]
Cu2 0.250 0.250 0.000 [4 per cell]
F1 0.000 0.168 0.750 [4 per cell]
F2 0.112 0.333 0.147 [8 per cell]
F3 0.247 0.081 0.271 [8 per cell]

Main lines, sorted by position (15 to 90 degrees two-theta):
d_spacing  I/Imax
5.482  100
5.095  90
3.166  42
3.031  19
2.961  28
2.942  45
2.741  39
2.547  67
2.333  18
1.842  32
1.583  21
1.516  21

---

No. 6
Structure and theoretical X-ray diffraction stick pattern of Ba2YMgNbO6 (a cell relaxed with PBE; CuKα).
Intensities are scaled so that the largest is 100.

Atomic structure:
Lattice parameters (Å, degrees): 6.0398 6.0398 16.9876 90.00 90.00 120.00
Space group R3m (No. 160, hexagonal axes)
Symmetry-distinct sites (fractional):
Ba1 0.0000 0.0000 0.0000 [3 per cell]
Ba2 0.0000 0.0000 0.4585 [3 per cell]
Y1 0.0000 0.0000 0.6659 [3 per cell]
Mg1 0.0000 0.0000 0.8287 [3 per cell]
Nb1 0.0000 0.0000 0.1910 [3 per cell]
O1 0.0077 0.5039 0.4404 [9 per cell]
O2 0.0095 0.5047 0.9231 [9 per cell]

Main lines, sorted by position (15 to 90 degrees two-theta):
d_spacing  I/Imax
4.454  20
3.297  50
3.020  100
2.849  29
2.227  31
2.072  11
2.065  38
1.792  17
1.744  20
1.709  12
1.510  19
1.485  13